Record 1
Diffraction record for KZn4Sn4. The XRD peak list is simulated, not measured: it uses a crystal structure in Alexandria, relaxed with GGA-PBE and Cu Kα.
Neutral-atom scattering factors, no anomalous dispersion.

Most intense lines, 2θ from 10° to 90°, most intense first:
d (Å), I (rel.)
2.096, 1000
2.883, 995
2.759, 851
6.446, 787
1.543, 433
2.149, 420
2.279, 375
4.558, 301
1.757, 277
3.333, 208

```
KZn4Sn4
1.0
9.116 0.000 0.000
0.000 9.116 0.000
0.000 0.000 5.789
K Zn Sn
2 8 8
Direct
0.250 0.250 0.250 K
0.750 0.750 0.750 K
0.080 0.911 0.124 Zn
0.089 0.580 0.624 Zn
0.411 0.920 0.624 Zn
0.420 0.589 0.124 Zn
0.580 0.411 0.876 Zn
0.589 0.080 0.376 Zn
0.911 0.420 0.376 Zn
0.920 0.089 0.876 Zn
0.106 0.610 0.126 Sn
0.110 0.894 0.626 Sn
0.390 0.606 0.626 Sn
0.394 0.890 0.126 Sn
0.606 0.110 0.874 Sn
0.610 0.394 0.374 Sn
0.890 0.106 0.374 Sn
0.894 0.390 0.874 Sn
```

***

Record 2
Diffraction record for KSr4. The XRD peak list is simulated, not measured: it uses a crystal structure in Alexandria, relaxed with GGA-PBE and Cu Kα.
Neutral-atom scattering factors, no anomalous dispersion.

Most intense lines, 2θ from 10° to 90°, most intense first:
d (Å), I (rel.)
3.398, 1000
3.449, 264
3.509, 259
1.981, 214
2.460, 197
2.004, 194
1.548, 129
1.699, 125
1.942, 102
1.953, 98

```
KSr4
1.0
0.000 3.449 17.546
2.350 0.000 17.546
2.350 3.449 0.000
K Sr
1 4
Direct
0.000 0.000 0.000 K
0.202 0.202 0.798 Sr
0.394 0.394 0.606 Sr
0.606 0.606 0.394 Sr
0.798 0.798 0.202 Sr
```

***

Record 3
Diffraction record for K2Sr17. The XRD peak list is simulated, not measured: it uses a crystal structure in Alexandria, relaxed with GGA-PBE and Cu Kα.
Neutral-atom scattering factors, no anomalous dispersion.

Most intense lines, 2θ from 10° to 90°, most intense first:
d (Å), I (rel.)
3.121, 1000
3.492, 968
3.480, 248
6.983, 211
1.746, 198
2.017, 196
2.011, 189
3.437, 176
4.035, 156
1.694, 140

```
K2Sr17
1.0
6.988 4.035 6.959
-6.988 4.035 6.959
0.000 -8.070 6.959
K Sr
2 17
Direct
0.172 0.172 0.172 K
0.828 0.828 0.828 K
0.000 0.500 0.500 Sr
0.155 0.155 0.652 Sr
0.155 0.652 0.155 Sr
0.201 0.500 0.799 Sr
0.201 0.799 0.500 Sr
0.348 0.845 0.845 Sr
0.404 0.404 0.404 Sr
0.500 0.000 0.500 Sr
0.500 0.201 0.799 Sr
0.500 0.500 0.000 Sr
0.500 0.799 0.201 Sr
0.596 0.596 0.596 Sr
0.652 0.155 0.155 Sr
0.799 0.201 0.500 Sr
0.799 0.500 0.201 Sr
0.845 0.348 0.845 Sr
0.845 0.845 0.348 Sr
```

***

Record 4
Diffraction record for KSr4Ta. The XRD peak list is simulated, not measured: it uses a crystal structure in Alexandria, relaxed with GGA-PBE and Cu Kα.
Neutral-atom scattering factors, no anomalous dispersion.

Most intense lines, 2θ from 10° to 90°, most intense first:
d (Å), I (rel.)
3.153, 1000
2.012, 369
3.018, 357
3.697, 302
1.848, 291
1.361, 236
1.576, 154
6.037, 134
2.134, 134
1.595, 132

```
KSr4Ta
1.0
0.000 5.228 5.228
5.228 0.000 5.228
5.228 5.228 0.000
K Sr Ta
1 4 1
Direct
0.000 0.000 0.000 K
0.129 0.624 0.624 Sr
0.624 0.129 0.624 Sr
0.624 0.624 0.129 Sr
0.624 0.624 0.624 Sr
0.250 0.250 0.250 Ta
```

***

Record 5
Diffraction record for K8SrTe6. The XRD peak list is simulated, not measured: it uses a crystal structure in Alexandria, relaxed with GGA-PBE and Cu Kα.
Neutral-atom scattering factors, no anomalous dispersion.

Most intense lines, 2θ from 10° to 90°, most intense first:
d (Å), I (rel.)
4.355, 1000
3.081, 648
2.935, 593
2.363, 471
3.247, 448
2.294, 392
2.806, 380
1.623, 306
1.646, 276
2.232, 207

```
K8SrTe6
1.0
-6.892 6.892 3.072
6.892 -6.892 3.072
6.892 6.892 -3.072
K Sr Te
8 1 6
Direct
0.014 0.649 0.187 K
0.173 0.986 0.635 K
0.351 0.538 0.365 K
0.462 0.827 0.813 K
0.538 0.351 0.365 K
0.649 0.014 0.187 K
0.827 0.462 0.813 K
0.986 0.173 0.635 K
0.000 0.000 0.000 Sr
0.000 0.500 0.500 Te
0.081 0.383 0.000 Te
0.383 0.081 0.000 Te
0.500 0.000 0.500 Te
0.617 0.617 0.698 Te
0.919 0.919 0.302 Te
```

***

Record 6
Diffraction record for KSrTe3. The XRD peak list is simulated, not measured: it uses a crystal structure in Alexandria, relaxed with GGA-PBE and Cu Kα.
Neutral-atom scattering factors, no anomalous dispersion.

Most intense lines, 2θ from 10° to 90°, most intense first:
d (Å), I (rel.)
3.219, 1000
2.847, 894
3.637, 503
4.532, 496
2.265, 495
2.754, 414
4.573, 407
2.608, 372
2.717, 351
2.104, 347

```
KSrTe3
1.0
18.291 0.000 0.000
0.000 6.487 0.000
0.000 0.000 6.334
K Sr Te
4 4 12
Direct
0.250 0.000 0.027 K
0.250 0.500 0.473 K
0.750 0.000 0.973 K
0.750 0.500 0.527 K
0.000 0.250 0.250 Sr
0.000 0.750 0.750 Sr
0.500 0.250 0.750 Sr
0.500 0.750 0.250 Sr
0.089 0.750 0.250 Te
0.129 0.075 0.578 Te
0.129 0.425 0.922 Te
0.371 0.575 0.922 Te
0.371 0.925 0.578 Te
0.411 0.250 0.250 Te
0.589 0.750 0.750 Te
0.629 0.075 0.422 Te
0.629 0.425 0.078 Te
0.871 0.575 0.078 Te
0.871 0.925 0.422 Te
0.911 0.250 0.750 Te
```

***

Record 7
Diffraction record for KSr4Tl5. The XRD peak list is simulated, not measured: it uses a crystal structure in Alexandria, relaxed with GGA-PBE and Cu Kα.
Neutral-atom scattering factors, no anomalous dispersion.

Most intense lines, 2θ from 10° to 90°, most intense first:
d (Å), I (rel.)
2.930, 1000
2.912, 527
1.685, 395
4.118, 229
2.059, 198
1.695, 166
1.102, 110
4.169, 104
2.387, 102
1.465, 101

```
KSr4Tl5
1.0
4.118 0.000 0.000
0.000 4.118 0.000
0.000 0.000 20.845
K Sr Tl
1 4 5
Direct
0.000 0.000 0.000 K
0.000 0.000 0.207 Sr
0.000 0.000 0.402 Sr
0.000 0.000 0.598 Sr
0.000 0.000 0.793 Sr
0.500 0.500 0.114 Tl
0.500 0.500 0.303 Tl
0.500 0.500 0.500 Tl
0.500 0.500 0.697 Tl
0.500 0.500 0.886 Tl
```

***

Record 8
Diffraction record for KSrV. The XRD peak list is simulated, not measured: it uses a crystal structure in Alexandria, relaxed with GGA-PBE and Cu Kα.
Neutral-atom scattering factors, no anomalous dispersion.

Most intense lines, 2θ from 10° to 90°, most intense first:
d (Å), I (rel.)
3.352, 1000
3.391, 862
3.011, 654
3.610, 513
2.972, 469
2.383, 388
7.942, 383
1.987, 360
2.643, 334
3.969, 294

```
KSrV
1.0
4.326 0.000 0.000
-1.701 3.979 0.000
-1.615 -1.766 15.884
K Sr V
2 2 2
Direct
0.000 0.000 0.000 K
0.430 0.327 0.755 K
0.574 0.665 0.240 Sr
0.726 0.787 0.516 Sr
0.018 0.351 0.378 V
0.282 0.101 0.378 V
```

***

Record 9
Diffraction record for K2Sr4W. The XRD peak list is simulated, not measured: it uses a crystal structure in Alexandria, relaxed with GGA-PBE and Cu Kα.
Neutral-atom scattering factors, no anomalous dispersion.

Most intense lines, 2θ from 10° to 90°, most intense first:
d (Å), I (rel.)
5.849, 1000
3.053, 742
2.271, 625
3.399, 564
4.317, 326
2.706, 311
2.925, 288
1.822, 286
2.159, 276
1.957, 246

```
K2Sr4W
1.0
6.105 0.000 0.000
0.000 6.105 0.000
0.000 0.000 20.408
K Sr W
4 8 2
Direct
0.000 0.000 0.143 K
0.000 0.000 0.857 K
0.500 0.500 0.357 K
0.500 0.500 0.643 K
0.000 0.000 0.352 Sr
0.000 0.000 0.648 Sr
0.000 0.500 0.000 Sr
0.000 0.500 0.500 Sr
0.500 0.000 0.000 Sr
0.500 0.000 0.500 Sr
0.500 0.500 0.148 Sr
0.500 0.500 0.852 Sr
0.000 0.000 0.500 W
0.500 0.500 0.000 W
```

***

Record 10
Diffraction record for KSrZr. The XRD peak list is simulated, not measured: it uses a crystal structure in Alexandria, relaxed with GGA-PBE and Cu Kα.
Neutral-atom scattering factors, no anomalous dispersion.

Most intense lines, 2θ from 10° to 90°, most intense first:
d (Å), I (rel.)
2.990, 1000
3.353, 266
1.671, 259
2.851, 237
2.570, 202
2.172, 154
1.858, 118
1.311, 101
1.604, 98
2.061, 90

```
KSrZr
1.0
4.123 0.000 0.000
0.000 5.701 0.000
0.000 0.000 20.120
K Sr Zr
4 4 4
Direct
0.000 0.000 0.000 K
0.000 0.500 0.500 K
0.500 0.000 0.500 K
0.500 0.500 0.000 K
0.000 0.000 0.301 Sr
0.000 0.500 0.801 Sr
0.500 0.000 0.801 Sr
0.500 0.500 0.301 Sr
0.000 0.000 0.663 Zr
0.000 0.500 0.163 Zr
0.500 0.000 0.163 Zr
0.500 0.500 0.663 Zr
```

***

Record 11
Diffraction record for KTa. The XRD peak list is simulated, not measured: it uses a crystal structure in Alexandria, relaxed with GGA-PBE and Cu Kα.
Neutral-atom scattering factors, no anomalous dispersion.

Most intense lines, 2θ from 10° to 90°, most intense first:
d (Å), I (rel.)
7.648, 1000
2.911, 344
2.716, 342
2.488, 293
2.175, 246
1.994, 224
2.257, 202
2.098, 191
2.282, 174
2.509, 163

```
KTa
1.0
9.135 0.000 0.000
0.000 3.232 0.000
-4.106 0.000 15.295
K Ta
6 6
Direct
0.000 0.000 0.000 K
0.132 0.500 0.746 K
0.365 0.000 0.254 K
0.500 0.500 0.000 K
0.632 0.000 0.746 K
0.865 0.500 0.254 K
0.195 0.500 0.429 Ta
0.302 0.000 0.571 Ta
0.499 0.500 0.500 Ta
0.695 0.000 0.429 Ta
0.802 0.500 0.571 Ta
0.999 0.000 0.500 Ta
```

***

Record 12
Diffraction record for K6Ta7. The XRD peak list is simulated, not measured: it uses a crystal structure in Alexandria, relaxed with GGA-PBE and Cu Kα.
Neutral-atom scattering factors, no anomalous dispersion.

Most intense lines, 2θ from 10° to 90°, most intense first:
d (Å), I (rel.)
4.989, 1000
2.420, 955
5.091, 845
2.518, 785
2.451, 741
2.299, 740
2.044, 562
4.597, 459
2.545, 439
2.506, 389

```
K6Ta7
1.0
2.898 1.673 15.273
-2.898 1.673 15.273
0.000 -3.346 15.273
K Ta
6 7
Direct
0.063 0.063 0.063 K
0.154 0.154 0.154 K
0.367 0.367 0.367 K
0.633 0.633 0.633 K
0.846 0.846 0.846 K
0.937 0.937 0.937 K
0.140 0.600 0.600 Ta
0.400 0.400 0.860 Ta
0.400 0.860 0.400 Ta
0.500 0.500 0.500 Ta
0.600 0.140 0.600 Ta
0.600 0.600 0.140 Ta
0.860 0.400 0.400 Ta
```

***

Record 13
Diffraction record for K7Ta. The XRD peak list is simulated, not measured: it uses a crystal structure in Alexandria, relaxed with GGA-PBE and Cu Kα.
Neutral-atom scattering factors, no anomalous dispersion.

Most intense lines, 2θ from 10° to 90°, most intense first:
d (Å), I (rel.)
3.502, 1000
3.033, 508
1.829, 426
7.004, 394
2.144, 360
3.658, 273
6.065, 217
4.289, 199
1.392, 163
1.356, 149

```
K7Ta
1.0
0.000 6.065 6.065
6.065 0.000 6.065
6.065 6.065 0.000
K Ta
7 1
Direct
0.000 0.000 0.000 K
0.000 0.000 0.500 K
0.000 0.500 0.000 K
0.000 0.500 0.500 K
0.500 0.000 0.000 K
0.500 0.000 0.500 K
0.500 0.500 0.000 K
0.500 0.500 0.500 Ta
```

***

Record 14
Diffraction record for K2TaTe5. The XRD peak list is simulated, not measured: it uses a crystal structure in Alexandria, relaxed with GGA-PBE and Cu Kα.
Neutral-atom scattering factors, no anomalous dispersion.

Most intense lines, 2θ from 10° to 90°, most intense first:
d (Å), I (rel.)
6.391, 1000
2.539, 797
3.574, 716
5.674, 654
6.583, 613
7.704, 594
2.446, 591
2.837, 552
3.531, 483
1.882, 398

```
K2TaTe5
1.0
14.308 0.000 0.000
0.000 6.332 0.000
-3.876 0.000 7.704
K Ta Te
4 2 10
Direct
0.000 0.000 0.000 K
0.105 0.500 0.639 K
0.500 0.500 0.000 K
0.605 0.000 0.639 K
0.239 0.500 0.281 Ta
0.739 0.000 0.281 Ta
0.042 0.500 0.207 Te
0.262 0.240 0.047 Te
0.262 0.760 0.047 Te
0.345 0.241 0.562 Te
0.345 0.759 0.562 Te
0.542 0.000 0.207 Te
0.762 0.260 0.047 Te
0.762 0.740 0.047 Te
0.845 0.259 0.562 Te
0.845 0.741 0.562 Te
```